Entry 1:
For Pm3RhC, a cell relaxed with PBE gives the computed XRD peak list in this record (λ = 1.5418 Å (Cu Kα)).
Peak positions follow from Bragg's law for the DFT cell and can differ from measured ones.

Peak list (10 most intense, 10° ≤ 2θ ≤ 80°, low angle first)
2θ (°)  I/Imax
17.68  13
30.16  27
31.12  100
35.81  66
39.83  12
50.91  16
52.16  26
61.44  21
61.99  14
64.88  11

Structure:
```
15
Lattice="7.015 0.000 0.000 -3.507 6.075 0.000 0.000 0.000 8.889" Properties=species:S:1:pos:R:3 pbc="T T T"
Pm 0.000 2.089 0.000
Pm -1.698 5.030 0.000
Pm 1.698 0.980 2.963
Pm 3.507 0.064 5.926
Pm 1.809 3.005 5.926
Pm 1.698 5.030 0.000
Pm 5.317 0.980 2.963
Pm 3.507 4.114 2.963
Pm 5.206 3.005 5.926
Rh 0.000 0.000 5.210
Rh 0.000 4.050 2.247
Rh 3.507 2.025 8.173
C 0.000 0.000 1.173
C 0.000 4.050 7.099
C 3.507 2.025 4.136
```


Entry 2:
For Ti4SnRh2, a cell relaxed with PBE gives the computed XRD peak list in this record (λ = 1.5418 Å (Cu Kα)).
Peak positions follow from Bragg's law for the DFT cell and can differ from measured ones.

Peak list (10 most intense, 10° ≤ 2θ ≤ 80°, low angle first)
2θ (°)  I/Imax
25.26  80
25.88  20
29.08  17
36.26  16
41.38  92
44.14  100
53.72  19
62.09  27
73.53  15
79.30  26

Structure:
```
7
Lattice="2.052 1.185 9.213 -2.052 1.185 9.213 0.000 -2.369 9.213" Properties=species:S:1:pos:R:3 pbc="T T T"
Ti 0.000 0.000 2.923
Ti 0.000 0.000 8.344
Ti 0.000 0.000 19.294
Ti 0.000 0.000 24.715
Sn 0.000 0.000 13.819
Rh 0.000 0.000 11.005
Rh 0.000 0.000 16.633
```


Entry 3:
For Cu2AsI6, a cell relaxed with PBE gives the computed XRD peak list in this record (λ = 1.5418 Å (Cu Kα)).
Peak positions follow from Bragg's law for the DFT cell and can differ from measured ones.

Peak list (10 most intense, 10° ≤ 2θ ≤ 80°, low angle first)
2θ (°)  I/Imax
12.06  84
24.26  30
25.01  50
26.46  72
27.39  100
29.49  32
34.84  49
41.96  57
44.58  26
48.28  29

Structure:
```
9
Lattice="8.567 -2.032 0.000 8.567 2.032 0.000 -2.480 0.000 10.106" Properties=species:S:1:pos:R:3 pbc="T T T"
Cu 2.502 0.000 3.922
Cu 12.153 0.000 6.184
As 0.000 0.000 0.000
I 0.161 0.000 2.928
I 2.007 0.000 6.581
I 6.530 0.000 0.210
I 8.124 0.000 9.897
I 12.648 0.000 3.526
I 14.494 0.000 7.178
```


Entry 4:
For Ba8NaP4, a cell relaxed with PBE gives the computed XRD peak list in this record (λ = 1.5418 Å (Cu Kα)).
Peak positions follow from Bragg's law for the DFT cell and can differ from measured ones.

Peak list (10 most intense, 10° ≤ 2θ ≤ 80°, low angle first)
2θ (°)  I/Imax
22.59  21
23.33  55
24.65  100
24.86  34
25.41  100
26.96  34
29.02  22
38.20  28
39.88  48
42.76  21

Structure:
```
13
Lattice="11.467 -2.356 0.000 11.467 2.356 0.000 -10.660 0.000 11.577" Properties=species:S:1:pos:R:3 pbc="T T T"
Ba 0.000 0.000 0.000
Ba -7.445 0.000 8.647
Ba -3.474 0.000 5.388
Ba 0.121 0.000 7.826
Ba 7.842 0.000 1.523
Ba 11.440 0.000 3.957
Ba 15.410 0.000 0.698
Ba 7.966 0.000 9.348
Na 3.999 0.000 4.661
P -1.812 0.000 2.661
P -5.098 0.000 10.808
P 2.401 0.000 10.113
P 9.777 0.000 6.685
```